Starting from a DFT-relaxed cell (PBE, Alexandria), the powder XRD pattern of LiSmTeSe was computed for Cu Kα (λ = 1.5418 Å).

Top 6 peaks for 15° ≤ 2θ ≤ 90°, most intense first:
index, d/Å, intensity
1 0 4, 3.002, 100
1 1 0, 2.143, 39
0 1 8, 2.104, 35
1 0 1, 3.651, 32
0 2 4, 1.744, 20
0 1 5, 2.747, 19

Crystal structure
```
data_LiSmTeSe
_symmetry_space_group_name_H-M 'R 3 m'
_symmetry_Int_Tables_number 160
_symmetry_space_group_name_Hall 'R 3 -2"'
_cell_length_a 4.2851
_cell_length_b 4.2851
_cell_length_c 20.4298
_cell_angle_alpha 90.00
_cell_angle_beta 90.00
_cell_angle_gamma 120.00
loop_
_atom_site_label
_atom_site_type_symbol
_atom_site_fract_x
_atom_site_fract_y
_atom_site_fract_z
Li1 Li 0.0000 0.0000 0.0000
Sm1 Sm 0.0000 0.0000 0.4903
Te1 Te 0.0000 0.0000 0.2516
Se1 Se 0.0000 0.0000 0.7466
```

=====

Starting from a DFT-relaxed cell (PBE, Alexandria), the powder XRD pattern of Li2Zn2Se3 was computed for Cu Kα (λ = 1.5418 Å).

Top 6 peaks for 15° ≤ 2θ ≤ 90°, most intense first:
index, d/Å, intensity
1 3 -1, 3.626, 100
3 3 -3, 2.052, 87
4 0 2, 1.882, 65
3 3 -1, 3.175, 60
4 0 0, 3.316, 58
5 3 -1, 2.441, 56

Crystal structure
```
data_Li2Zn2Se3
_symmetry_space_group_name_H-M 'C 1 2/c 1'
_symmetry_Int_Tables_number 15
_symmetry_space_group_name_Hall '-C 2yc'
_cell_length_a 14.9537
_cell_length_b 12.6938
_cell_length_c 7.0384
_cell_angle_alpha 90.00
_cell_angle_beta 117.51
_cell_angle_gamma 90.00
loop_
_atom_site_label
_atom_site_type_symbol
_atom_site_fract_x
_atom_site_fract_y
_atom_site_fract_z
Li1 Li 0.0000 0.0825 0.2500
Li2 Li 0.0000 0.2286 0.7500
Li3 Li 0.0916 0.4195 0.0334
Zn1 Zn 0.1807 0.2386 0.6045
Zn2 Zn 0.2023 0.0772 0.1098
Se1 Se 0.1134 0.3973 0.6962
Se2 Se 0.1263 0.0749 0.7107
Se3 Se 0.1283 0.2343 0.2104
```

=====

Starting from a DFT-relaxed cell (PBE, Alexandria), the powder XRD pattern of Sn2H12Cl6O7 was computed for Cu Kα (λ = 1.5418 Å).

Top 6 peaks for 15° ≤ 2θ ≤ 90°, most intense first:
index, d/Å, intensity
2 0 0, 5.768, 100
1 1 1, 5.867, 43
1 1 2, 4.920, 36
1 1 -4, 4.004, 33
0 2 3, 3.319, 33
4 0 0, 2.885, 30

Crystal structure
```
data_Sn2H12Cl6O7
_symmetry_space_group_name_H-M 'C 1 2/c 1'
_symmetry_Int_Tables_number 15
_symmetry_space_group_name_Hall '-C 2yc'
_cell_length_a 12.0510
_cell_length_b 8.0080
_cell_length_c 18.5889
_cell_angle_alpha 90.00
_cell_angle_beta 106.71
_cell_angle_gamma 90.00
loop_
_atom_site_label
_atom_site_type_symbol
_atom_site_fract_x
_atom_site_fract_y
_atom_site_fract_z
Sn1 Sn 0.2449 0.1463 0.4197
H1 H 0.0125 0.3336 0.5729
H2 H 0.0397 0.2286 0.5025
H3 H 0.0439 0.4350 0.8328
H4 H 0.0670 0.3807 0.2544
H5 H 0.1293 0.2934 0.8792
H6 H 0.1745 0.4689 0.4348
Cl1 Cl 0.0380 0.0948 0.3940
Cl2 Cl 0.2090 0.3596 0.0998
Cl3 Cl 0.2391 0.2496 0.2975
O1 O 0.0000 0.4555 0.2500
O2 O 0.0688 0.3128 0.5421
O3 O 0.0789 0.3872 0.8842
O4 O 0.2342 0.3877 0.4639
```

=====

Starting from a DFT-relaxed cell (PBE, Alexandria), the powder XRD pattern of Np6SbS12 was computed for Cu Kα (λ = 1.5418 Å).

Top 6 peaks for 15° ≤ 2θ ≤ 90°, most intense first:
index, d/Å, intensity
3 -1 1, 3.704, 100
1 2 2, 3.199, 36
4 1 0, 2.271, 35
3 -1 4, 2.254, 33
0 0 3, 3.667, 31
5 -4 3, 1.931, 24

Crystal structure
```
data_Np6SbS12
_symmetry_space_group_name_H-M 'R -3'
_symmetry_Int_Tables_number 148
_symmetry_space_group_name_Hall '-R 3'
_cell_length_a 12.0169
_cell_length_b 12.0169
_cell_length_c 10.9996
_cell_angle_alpha 90.00
_cell_angle_beta 90.00
_cell_angle_gamma 120.00
loop_
_atom_site_label
_atom_site_type_symbol
_atom_site_fract_x
_atom_site_fract_y
_atom_site_fract_z
Np1 Np 0.0479 0.7820 0.1467
Sb1 Sb 0.0000 0.0000 0.5000
S1 S 0.0348 0.8166 0.8955
S2 S 0.0516 0.8360 0.3897
```